Diffraction record for MgNi4O8. The powder diffractogram is theoretical, not measured: it uses DFT lattice parameters and positions (GGA+U) and CuKα.

Atomic structure:
```
data_MgNi4O8
_cell_length_a 5.7102
_cell_length_b 5.7102
_cell_length_c 14.5570
_cell_angle_alpha 90.00
_cell_angle_beta 90.00
_cell_angle_gamma 120.00
_space_group_name_H-M_alt 'R -3 m'
_space_group_IT_number 166
_space_group_name_Hall '-R 3 2"'
loop_
_atom_site_label
_atom_site_fract_x
_atom_site_fract_y
_atom_site_fract_z
_atom_site_occupancy
Mg1 0.0000 0.0000 0.0000 1
Ni1 0.0000 0.0000 0.5000 1
Ni2 0.0000 0.5000 0.0000 1
O1 0.0000 0.0000 0.2677 1
O2 0.0260 0.5130 0.2640 1
```

Principal peaks in the range 10 to 80 degrees two-theta, by angle:
Position (°2θ)	intensity	(hkl)
18.3	84	0 0 3
19.0	81	1 0 1
35.8	11	0 1 5
36.5	23	1 1 3
36.9	22	0 2 1
38.5	25	2 0 2
44.3	100	0 2 4
57.9	13	0 2 7
63.5	26	2 0 8
65.4	27	2 2 0